No. 1
The following is a theoretical PXRD pattern of BPRhC. It was derived from a crystal structure in Alexandria, relaxed with GGA-PBE, using Cu Kα.

Structure:
Cell: 2.785 2.785 8.228 Å, 90.00 90.00 120.00°
Fractional coordinates of all 4 atoms:
B1 0.000 0.000 0.000
P1 0.000 0.000 0.524
Rh1 0.333 0.667 0.733
C1 0.333 0.667 0.997

Largest 10 diffraction maxima, in order of falling intensity, 2θ from 10° to 90°:
Position (°2θ)	I (rel.)
10.75	100.0
38.91	23.1
43.49	20.8
50.38	14.1
37.28	12.3
59.01	7.0
21.60	5.8
80.53	5.4
68.31	4.9
44.02	4.8

***

No. 2
The following is a theoretical PXRD pattern of BPRhCS. It was derived from a crystal structure in Alexandria, relaxed with GGA-PBE, using Cu Kα.

Structure:
Cell: 2.858 2.946 7.307 Å, 90.00 90.00 90.00°
Fractional coordinates of all 5 atoms:
B1 0.000 0.000 0.000
P1 0.500 0.500 0.724
Rh1 0.000 0.500 0.493
C1 0.500 0.000 0.879
S1 0.000 0.500 0.165

Largest 10 diffraction maxima, in order of falling intensity, 2θ from 10° to 90°:
Position (°2θ)	I (rel.)
12.11	100.0
30.34	49.2
32.77	42.9
33.68	39.2
58.86	33.4
40.06	32.2
45.95	27.6
51.06	24.5
31.30	22.2
49.15	20.7

***

No. 3
The following is a theoretical PXRD pattern of ScBP2C. It was derived from a crystal structure in Alexandria, relaxed with GGA-PBE, using Cu Kα.

Structure:
Cell: 4.653 4.653 5.177 Å, 97.90 97.90 38.81°
Fractional coordinates of all 5 atoms:
Sc1 0.000 0.000 0.000
B1 0.344 0.344 0.279
P1 0.700 0.700 0.801
P2 0.879 0.879 0.486
C1 0.279 0.279 0.981

Largest 10 diffraction maxima, in order of falling intensity, 2θ from 10° to 90°:
Position (°2θ)	I (rel.)
42.80	100.0
30.70	88.7
28.83	85.0
17.31	80.1
46.03	61.7
48.31	52.6
34.68	45.9
38.11	43.7
44.61	39.6
35.04	30.5